Starting from a crystal structure in the Materials Project, relaxed with GGA-PBE, the X-ray powder pattern of TaSe2 was calculated for copper Kα.

```
TaSe2
1.0
1.740 1.004 6.917
-1.740 1.004 6.917
0.000 -2.009 6.917
Ta Se
1 2
Cartesian
0.000 0.000 0.000 Ta
0.000 0.000 5.232 Se
0.000 0.000 8.594 Se
```

Principal peaks in the range 2θ = 10–90°, most intense first:
2theta	I_rel
12.80	100
36.86	50
34.42	41
42.79	36
29.97	32
52.61	28
30.90	26
46.18	21
77.89	18
54.38	16